Computed powder diffraction line list of FeC8N6 for Cu Kα, 1.54184 Å, from a DFT-relaxed cell (GGA-PBE, Alexandria).
Kinematic intensities with the Lorentz-polarization factor, no thermal factor.

Structure:
Cell lengths 7.0645, 5.0960, 10.1700 Å; angles 90.00, 90.00, 90.00 degrees
Sites, in units of the cell vectors:
Fe 0.0000 0.0000 0.0000
Fe 0.5000 0.0000 0.5000
C 0.0000 0.3752 0.2408
C 0.0000 0.4290 0.6615
C 0.0000 0.5710 0.3385
C 0.0000 0.6248 0.7592
C 0.1675 0.3122 0.6157
C 0.1675 0.6878 0.3843
C 0.3325 0.3122 0.8843
C 0.3325 0.6878 0.1157
C 0.5000 0.3752 0.2592
C 0.5000 0.4290 0.8385
C 0.5000 0.5710 0.1615
C 0.5000 0.6248 0.7408
C 0.6675 0.3122 0.8843
C 0.6675 0.6878 0.1157
C 0.8325 0.3122 0.6157
C 0.8325 0.6878 0.3843
N 0.0000 0.2182 0.1564
N 0.0000 0.7818 0.8436
N 0.1991 0.2055 0.9268
N 0.1991 0.7945 0.0732
N 0.3009 0.2055 0.5732
N 0.3009 0.7945 0.4268
N 0.5000 0.2182 0.3436
N 0.5000 0.7818 0.6564
N 0.6991 0.2055 0.5732
N 0.6991 0.7945 0.4268
N 0.8009 0.2055 0.9268
N 0.8009 0.7945 0.0732

Most intense lines, 10 to 90 degrees two-theta, in order of rising 2θ:
15.27 deg, I = 75
17.43 deg, I = 24
23.23 deg, I = 100
24.73 deg, I = 49
31.70 deg, I = 29
32.06 deg, I = 24
35.61 deg, I = 25
43.84 deg, I = 19
46.41 deg, I = 19
47.50 deg, I = 18

***

Computed powder diffraction line list of Ca4As2Se for Cu Kα, 1.54184 Å, from a DFT-relaxed cell (GGA-PBE, Alexandria).
Kinematic intensities with the Lorentz-polarization factor, no thermal factor.

Structure:
Cell lengths 8.6903, 8.6903, 8.6903 Å; angles 119.96, 119.96, 90.07 degrees
Sites, in units of the cell vectors:
Ca 0.2631 0.2897 0.5266
Ca 0.2635 0.7369 0.5266
Ca 0.2631 0.7365 0.9734
Ca 0.2897 0.2631 0.0266
Ca 0.7103 0.7369 0.9734
Ca 0.7369 0.2635 0.0266
Ca 0.7365 0.2631 0.4734
Ca 0.7369 0.7103 0.4734
As 0.0000 0.5000 0.5000
As 0.5000 0.0000 0.0000
As 0.5000 0.5000 0.0000
As 0.5000 0.5000 0.5000
Se 0.1250 0.8750 0.2500
Se 0.8750 0.1250 0.7500

Most intense lines, 10 to 90 degrees two-theta, in order of rising 2θ:
12.47 deg, I = 17
20.44 deg, I = 32
24.01 deg, I = 95
29.06 deg, I = 51
38.04 deg, I = 60
41.56 deg, I = 100
57.60 deg, I = 22
65.79 deg, I = 16
75.83 deg, I = 27
80.89 deg, I = 17

***

Computed powder diffraction line list of MgAg2SO4 for Cu Kα, 1.54184 Å, from a DFT-relaxed cell (GGA-PBE, Alexandria).
Kinematic intensities with the Lorentz-polarization factor, no thermal factor.

Structure:
Cell lengths 4.3671, 4.9748, 7.1059 Å; angles 88.43, 77.16, 64.46 degrees
Sites, in units of the cell vectors:
Mg 0.0000 0.0000 0.0000
Ag 0.2846 0.2174 0.3319
Ag 0.8639 0.8448 0.5014
S 0.7072 0.6411 0.7929
O 0.3501 0.6588 0.8052
O 0.6376 0.8591 0.9653
O 0.8548 0.1279 0.2756
O 0.9438 0.3307 0.8281

Most intense lines, 10 to 90 degrees two-theta, in order of rising 2θ:
12.82 deg, I = 79
23.05 deg, I = 33
23.78 deg, I = 41
24.51 deg, I = 100
25.80 deg, I = 32
28.32 deg, I = 44
30.54 deg, I = 34
34.00 deg, I = 38
36.95 deg, I = 33
41.50 deg, I = 49

***

Computed powder diffraction line list of Pa2In8Ag for Cu Kα, 1.54184 Å, from a DFT-relaxed cell (GGA-PBE, Alexandria).
Kinematic intensities with the Lorentz-polarization factor, no thermal factor.

Structure:
Cell lengths 4.7279, 4.7279, 12.2556 Å; angles 90.00, 90.00, 90.00 degrees
Sites, in units of the cell vectors:
Pa 0.0000 0.0000 0.1850
Pa 0.0000 0.0000 0.8150
In 0.0000 0.5000 0.0000
In 0.0000 0.5000 0.3675
In 0.0000 0.5000 0.6325
In 0.5000 0.0000 0.0000
In 0.5000 0.0000 0.3675
In 0.5000 0.0000 0.6325
In 0.5000 0.5000 0.1841
In 0.5000 0.5000 0.8159
Ag 0.0000 0.0000 0.5000

Most intense lines, 10 to 90 degrees two-theta, in order of rising 2θ:
18.77 deg, I = 13
30.46 deg, I = 22
34.67 deg, I = 100
36.66 deg, I = 11
38.07 deg, I = 47
53.88 deg, I = 14
54.93 deg, I = 16
59.84 deg, I = 11
66.61 deg, I = 29
67.22 deg, I = 12

***

Computed powder diffraction line list of LiMgH for Cu Kα, 1.54184 Å, from a DFT-relaxed cell (GGA-PBE, Alexandria).
Kinematic intensities with the Lorentz-polarization factor, no thermal factor.

Structure:
Cell lengths 5.3797, 3.1391, 10.2583 Å; angles 90.00, 90.17, 90.00 degrees
Sites, in units of the cell vectors:
Li 0.0000 0.0000 0.0000
Li 0.1656 0.5000 0.7598
Li 0.5000 0.5000 0.0000
Li 0.6656 0.0000 0.7598
Mg 0.0007 0.0000 0.5005
Mg 0.3382 0.0000 0.2490
Mg 0.5007 0.5000 0.5005
Mg 0.8382 0.5000 0.2490
H 0.0005 0.0000 0.8142
H 0.3349 0.0000 0.0516
H 0.5005 0.5000 0.8142
H 0.8349 0.5000 0.0516

Most intense lines, 10 to 90 degrees two-theta, in order of rising 2θ:
26.06 deg, I = 25
33.04 deg, I = 18
34.22 deg, I = 73
34.45 deg, I = 36
34.99 deg, I = 50
37.52 deg, I = 100
37.77 deg, I = 46
42.52 deg, I = 36
59.35 deg, I = 21
64.42 deg, I = 21

***

Computed powder diffraction line list of Er3Cd4Hg2 for Cu Kα, 1.54184 Å, from a DFT-relaxed cell (GGA-PBE, Alexandria).
Kinematic intensities with the Lorentz-polarization factor, no thermal factor.

Structure:
Cell lengths 5.9973, 5.9973, 9.1871 Å; angles 116.74, 116.74, 48.75 degrees
Sites, in units of the cell vectors:
Er 0.0000 0.0000 0.0000
Er 0.3311 0.3311 0.3358
Er 0.6689 0.6689 0.6642
Cd 0.0506 0.0506 0.3854
Cd 0.2751 0.2751 0.9446
Cd 0.7249 0.7249 0.0554
Cd 0.9494 0.9494 0.6146
Hg 0.3901 0.3901 0.7240
Hg 0.6099 0.6099 0.2760

Most intense lines, 10 to 90 degrees two-theta, in order of rising 2θ:
33.62 deg, I = 100
36.29 deg, I = 29
36.43 deg, I = 58
50.32 deg, I = 21
50.47 deg, I = 11
63.58 deg, I = 11
63.73 deg, I = 11
63.83 deg, I = 10
65.38 deg, I = 11
66.65 deg, I = 19

***

Computed powder diffraction line list of Y4SnSb3 for Cu Kα, 1.54184 Å, from a DFT-relaxed cell (GGA-PBE, Alexandria).
Kinematic intensities with the Lorentz-polarization factor, no thermal factor.

Structure:
Cell lengths 6.2147, 6.2147, 6.2147 Å; angles 90.00, 90.00, 90.00 degrees
Sites, in units of the cell vectors:
Y 0.0000 0.0000 0.0000
Y 0.0000 0.5000 0.5000
Y 0.5000 0.0000 0.5000
Y 0.5000 0.5000 0.0000
Sn 0.5000 0.5000 0.5000
Sb 0.0000 0.0000 0.5000
Sb 0.0000 0.5000 0.0000
Sb 0.5000 0.0000 0.0000

Most intense lines, 10 to 90 degrees two-theta, in order of rising 2θ:
24.81 deg, I = 4
28.73 deg, I = 100
41.08 deg, I = 75
48.59 deg, I = 2
50.90 deg, I = 27
59.50 deg, I = 12
65.46 deg, I = 1
67.39 deg, I = 34
74.85 deg, I = 25
89.13 deg, I = 8

***

Computed powder diffraction line list of CePmBiP for Cu Kα, 1.54184 Å, from a DFT-relaxed cell (GGA-PBE, Alexandria).
Kinematic intensities with the Lorentz-polarization factor, no thermal factor.

Structure:
Cell lengths 4.2864, 4.2864, 21.7734 Å; angles 90.00, 90.00, 120.00 degrees
Sites, in units of the cell vectors:
Ce 0.0000 0.0000 0.0000
Ce 0.3333 0.6667 0.6667
Ce 0.6667 0.3333 0.3333
Pm 0.0000 0.0000 0.4790
Pm 0.3333 0.6667 0.1456
Pm 0.6667 0.3333 0.8123
Bi 0.0000 0.0000 0.2406
Bi 0.3333 0.6667 0.9072
Bi 0.6667 0.3333 0.5739
P 0.0000 0.0000 0.7385
P 0.3333 0.6667 0.4052
P 0.6667 0.3333 0.0719

Most intense lines, 10 to 90 degrees two-theta, in order of rising 2θ:
24.32 deg, I = 22
29.12 deg, I = 100
31.67 deg, I = 22
41.12 deg, I = 35
42.16 deg, I = 38
52.06 deg, I = 20
57.44 deg, I = 13
67.66 deg, I = 13
69.14 deg, I = 17
76.37 deg, I = 12